(1)
Tl2GaCu3Se4: simulated PXRD pattern (λ = 1.5418 Å (Cu Kα)), based on a crystal structure in the Materials Project, relaxed with GGA-PBE.

Principal peaks in the range 2θ = 10–90°, low angle first:
index, 2θ (°), I_rel
1 1 1, 23.1, 144
0 4 0, 25.5, 113
1 3 1, 29.4, 1000
2 2 0, 34.2, 561
1 5 1, 39.3, 243
2 0 2, 45.3, 329
2 6 0, 50.7, 345
3 3 1, 54.9, 174
1 3 3, 55.0, 173
2 8 2, 71.7, 136

abc: 5.6711 13.9828 5.6525
angles: 90.00 90.00 90.00
Space group C222 (No. 21)
One atom of each set of equivalent atoms:
Tl: 0.2500 0.2500 0.2486 x4
Ga: 0.0000 0.5000 0.0000 x2
Cu: 0.0000 0.0000 0.0000 x2
Cu: 0.0000 0.0000 0.5000 x2
Cu: 0.0000 0.5000 0.5000 x2
Se: 0.2461 0.3904 0.7542 x8



(2)
LiScSiO4: simulated PXRD pattern (λ = 1.5418 Å (Cu Kα)), based on a crystal structure in the Materials Project, relaxed with GGA-PBE.

Principal peaks in the range 2θ = 10–90°, low angle first:
index, 2θ (°), I_rel
2 0 0, 16.8, 281
1 0 1, 20.1, 635
2 1 0, 22.4, 331
1 1 1, 25.0, 751
0 2 0, 29.6, 591
3 1 1, 34.9, 1000
1 2 1, 36.1, 311
2 2 1, 39.1, 286
2 2 2, 51.3, 371
6 2 0, 61.1, 257

abc: 10.5299 6.0328 4.8642
angles: 90.00 90.00 90.00
Space group Pnma (No. 62)
One atom of each set of equivalent atoms:
Li: 0.0000 0.0000 0.0000 x4
Sc: 0.2253 0.2500 0.4946 x4
Si: 0.0915 0.7500 0.4337 x4
O: 0.0519 0.2500 0.6955 x4
O: 0.1008 0.7500 0.7664 x4
O: 0.1688 0.5396 0.2844 x8



(3)
K6Ti2O7: simulated PXRD pattern (λ = 1.5418 Å (Cu Kα)), based on a crystal structure in the Materials Project, relaxed with GGA-PBE.

Principal peaks in the range 2θ = 10–90°, low angle first:
index, 2θ (°), I_rel
1 1 -1, 16.4, 358
0 2 2, 26.6, 264
2 1 -2, 28.5, 367
2 1 -1, 29.8, 322
0 3 1, 30.1, 1000
1 0 2, 30.6, 496
1 1 -4, 32.9, 923
2 2 -1, 34.1, 452
1 3 1, 36.6, 630
0 6 0, 59.0, 213

abc: 6.6423 9.3853 11.4877
angles: 90.00 123.40 90.00
Space group P2_1/c (No. 14)
One atom of each set of equivalent atoms:
K: 0.0583 0.1564 0.4336 x4
K: 0.2069 0.5277 0.4567 x4
K: 0.4081 0.2048 0.2788 x4
Ti: 0.3087 0.6445 0.8676 x4
O: 0.0377 0.6746 0.8676 x4
O: 0.2352 0.5968 0.6951 x4
O: 0.4994 0.1989 0.0725 x4
O: 0.5000 0.0000 0.5000 x2



(4)
Cs: simulated PXRD pattern (λ = 1.5418 Å (Cu Kα)), based on a crystal structure in the Materials Project, relaxed with GGA-PBE.

Principal peaks in the range 2θ = 10–90°, low angle first:
index, 2θ (°), I_rel
2 2 1, 19.9, 1000
3 1 0, 21.0, 595
3 1 1, 22.0, 274
3 2 1, 24.9, 99
4 3 1, 34.2, 391
5 2 0, 36.2, 327
4 4 2, 40.5, 127
5 5 3, 52.6, 91
6 5 0, 53.5, 105
7 3 2, 54.0, 93

abc: 13.3755 13.3755 13.3755
angles: 90.00 90.00 90.00
Space group P4_132 (No. 213)
One atom of each set of equivalent atoms:
Cs: 0.0465 0.1250 0.7965 x12
Cs: 0.0623 0.9377 0.4377 x8



Number 3 is which compound? K6Ti2O7